No. 1
For LiCrP2O7, DFT lattice parameters and positions (GGA+U) gives the theoretical X-ray diffraction stick pattern in this record (Cu Kα, 1.54184 Å).
No peak broadening, texture or thermal motion is included.

Crystal structure
Lattice parameters (Å, degrees): 15.423 5.024 8.879 90.00 110.67 90.00
Space group Cc (No. 9)
Symmetry-distinct sites (fractional):
Li  0.000  0.173  0.000 x4
Cr  0.203  0.009  0.050 x4
P  0.103  0.366  0.738 x4
P  0.302  0.361  0.853 x4
O  0.028  0.437  0.166 x4
O  0.100  0.220  0.891 x4
O  0.109  0.145  0.615 x4
O  0.202  0.473  0.293 x4
O  0.293  0.165  0.984 x4
O  0.300  0.197  0.706 x4
O  0.377  0.443  0.414 x4

Most intense lines, 2θ from 10° to 90°, low angle first:
- 12.27°, d 7.215, rel. 100
- 20.45°, d 4.343, rel. 30
- 22.64°, d 3.928, rel. 21
- 25.64°, d 3.474, rel. 22
- 26.39°, d 3.377, rel. 11
- 26.84°, d 3.322, rel. 78
- 28.32°, d 3.151, rel. 11
- 29.00°, d 3.079, rel. 15
- 34.11°, d 2.629, rel. 11
- 40.73°, d 2.216, rel. 16

---

No. 2
For LiCrPO4, DFT lattice parameters and positions (GGA+U) gives the theoretical X-ray diffraction stick pattern in this record (Cu Kα, 1.54184 Å).
No peak broadening, texture or thermal motion is included.

Crystal structure
Lattice parameters (Å, degrees): 9.249 6.446 5.121 90.00 90.00 90.00
Space group Pnma (No. 62)
Symmetry-distinct sites (fractional):
Li  0.000  0.000  0.000 x4
Cr  0.138  0.250  0.450 x4
P  0.188  0.750  0.463 x4
O  0.114  0.557  0.340 x8
O  0.146  0.250  0.903 x4
O  0.160  0.750  0.764 x4

Most intense lines, 2θ from 10° to 90°, low angle first:
- 19.19°, d 4.624, rel. 32
- 19.82°, d 4.480, rel. 100
- 27.68°, d 3.223, rel. 85
- 33.93°, d 2.642, rel. 96
- 34.28°, d 2.616, rel. 22
- 36.41°, d 2.468, rel. 51
- 38.95°, d 2.312, rel. 42
- 42.74°, d 2.116, rel. 28
- 44.34°, d 2.043, rel. 23
- 45.23°, d 2.005, rel. 23